# 1
The following is a computed powder diffractogram of MnCrHgO6. It was derived from a GGA+U-relaxed structure, using Cu Kα (λ = 1.5418 Å).
Kinematic intensities with the Lorentz-polarization factor, no thermal factor.

Crystal structure
```
data_MnCrHgO6
_space_group_name_H-M_alt 'C 1 2 1'
_space_group_IT_number 5
_cell_length_a 5.0309
_cell_length_b 8.7204
_cell_length_c 4.8159
_cell_angle_alpha 90.00
_cell_angle_beta 90.15
_cell_angle_gamma 90.00
loop_
_space_group_symop_operation_xyz
'x,y,z'
'-x,y,-z'
'x+1/2,y+1/2,z'
'-x+1/2,y+1/2,-z'
loop_
_atom_site_label
_atom_site_type_symbol
_atom_site_fract_x
_atom_site_fract_y
_atom_site_fract_z
Mn1 Mn 0.0000 0.0000 0.0000
Cr1 Cr 0.0000 0.3335 0.0000
Hg1 Hg 0.0000 0.6668 0.5000
O1 O 0.1224 0.1695 0.2174
O2 O 0.1854 0.4760 0.2177
O3 O 0.1940 0.8545 0.2176
```

Main lines, by angle (2θ from 10° to 80°):
| 2θ (°) | I/Imax | hkl |
| --- | --- | --- |
| 20.38 | 24.0 | 1 1 0 |
| 27.60 | 100.0 | 1 1 1 |
| 35.68 | 26.7 | 1 3 0 |
| 42.91 | 11.8 | 1 1 2 |
| 45.70 | 23.6 | 2 2 1 |
| 52.59 | 25.7 | 2 0 -2 |
| 59.27 | 20.0 | 1 5 1 |
| 64.10 | 9.2 | 3 3 0 |

# 2
The following is a computed powder diffractogram of NaCr2Hg2O7. It was derived from a GGA+U-relaxed structure, using Cu Kα (λ = 1.5418 Å).
Kinematic intensities with the Lorentz-polarization factor, no thermal factor.

Crystal structure
```
data_NaCr2Hg2O7
_space_group_name_H-M_alt 'R 3 2'
_space_group_IT_number 155
_space_group_name_Hall 'R 3 2"'
_cell_length_a 5.7265
_cell_length_b 5.7265
_cell_length_c 23.3794
_cell_angle_alpha 90.00
_cell_angle_beta 90.00
_cell_angle_gamma 120.00
loop_
_atom_site_label
_atom_site_type_symbol
_atom_site_fract_x
_atom_site_fract_y
_atom_site_fract_z
Na1 Na 0.0000 0.0000 0.0000
Cr1 Cr 0.0000 0.0000 0.4232
Hg1 Hg 0.0000 0.0000 0.1567
O1 O 0.0000 0.0000 0.5000
O2 O 0.0300 0.4480 0.2657
```

Main lines, by angle (2θ from 10° to 80°):
| 2θ (°) | I/Imax | hkl |
| --- | --- | --- |
| 11.35 | 100.0 | 0 0 3 |
| 23.53 | 42.6 | 1 0 4 |
| 31.24 | 59.2 | 1 1 0 |
| 32.32 | 38.2 | 1 0 7 |
| 33.34 | 62.9 | 1 1 3 |
| 39.04 | 28.6 | 1 1 6 |
| 45.56 | 18.3 | 0 2 7 |
| 56.28 | 14.7 | 2 1 7 |

# 3
The following is a computed powder diffractogram of Cr2HgO4. It was derived from a GGA+U-relaxed structure, using Cu Kα (λ = 1.5418 Å).
Kinematic intensities with the Lorentz-polarization factor, no thermal factor.

Crystal structure
Lattice parameters (Å, degrees): 8.8492 8.8492 8.8492 90.00 90.00 90.00
Space group Fd-3m (No. 227, origin choice 2)
Unique sites:
Cr 0.0000 0.0000 0.0000 x16
Hg 0.1250 0.1250 0.6250 x8
O 0.0207 0.0207 0.2293 x32

Main lines, by angle (2θ from 10° to 80°):
| 2θ (°) | I/Imax | hkl |
| --- | --- | --- |
| 17.36 | 21.4 | 1 1 1 |
| 28.53 | 87.3 | 2 2 0 |
| 33.59 | 100.0 | 3 1 1 |
| 44.63 | 14.5 | 3 3 1 |
| 50.53 | 34.3 | 4 2 2 |
| 53.83 | 40.1 | 5 1 1 |
| 59.05 | 31.8 | 4 4 0 |
| 66.87 | 14.2 | 6 2 0 |

# 4
The following is a computed powder diffractogram of CrHg5O6. It was derived from a GGA+U-relaxed structure, using Cu Kα (λ = 1.5418 Å).
Kinematic intensities with the Lorentz-polarization factor, no thermal factor.

Crystal structure
```
data_CrHg5O6
_space_group_name_H-M_alt 'C 1 2/c 1'
_space_group_IT_number 15
_cell_length_a 11.5369
_cell_length_b 11.8732
_cell_length_c 6.8856
_cell_angle_alpha 90.00
_cell_angle_beta 98.15
_cell_angle_gamma 90.00
loop_
_space_group_symop_operation_xyz
'x,y,z'
'-x,-y,-z'
'-x,y,-z+1/2'
'x,-y,z+1/2'
'x+1/2,y+1/2,z'
'-x+1/2,-y+1/2,-z'
'-x+1/2,y+1/2,-z+1/2'
'x+1/2,-y+1/2,z+1/2'
loop_
_atom_site_label
_atom_site_type_symbol
_atom_site_fract_x
_atom_site_fract_y
_atom_site_fract_z
Cr1 Cr 0.0000 0.1801 0.2500
Hg1 Hg 0.0000 0.5000 0.0000
Hg2 Hg 0.1587 0.2738 0.7895
Hg3 Hg 0.2233 0.0739 0.6928
O1 O 0.0093 0.2623 0.0552
O2 O 0.1202 0.0995 0.2989
O3 O 0.1386 0.4515 0.8528
```

Main lines, by angle (2θ from 10° to 80°):
| 2θ (°) | I/Imax | hkl |
| --- | --- | --- |
| 10.75 | 35.9 | 1 1 0 |
| 24.09 | 34.6 | 2 2 -1 |
| 26.20 | 70.9 | 0 0 2 |
| 29.40 | 100.0 | 3 1 1 |
| 32.41 | 56.8 | 2 0 2 |
| 32.91 | 41.0 | 0 4 1 |
| 34.86 | 35.5 | 4 2 0 |
| 35.71 | 31.4 | 4 2 -1 |